1.
Structure and computed PXRD pattern of Sr4SbRu (a cell relaxed with GGA-PBE; Cu Kα).
Intensities are scaled so that the largest is 100.

Structure:
```
data_Sr4SbRu
_space_group_name_H-M_alt 'F -4 3 m'
_space_group_IT_number 216
_space_group_name_Hall 'F -4 2 3'
_cell_length_a 9.332
_cell_length_b 9.332
_cell_length_c 9.332
_cell_angle_alpha 90.00
_cell_angle_beta 90.00
_cell_angle_gamma 90.00
loop_
_atom_site_label
_atom_site_type_symbol
_atom_site_fract_x
_atom_site_fract_y
_atom_site_fract_z
_atom_site_occupancy
Sr1 Sr 0.125 0.125 0.125 1
Sb1 Sb 0.000 0.000 0.500 1
Ru1 Ru 0.250 0.250 0.750 1
```

The 12 most intense peaks (10° ≤ 2θ ≤ 90°), sorted by position:
2θ 27.02, intensity 34
2θ 31.80, intensity 100
2θ 33.26, intensity 33
2θ 47.74, intensity 14
2θ 50.84, intensity 35
2θ 55.72, intensity 29
2θ 63.00, intensity 6
2θ 65.60, intensity 12
2θ 66.46, intensity 13
2θ 76.37, intensity 7
2θ 78.77, intensity 22
2θ 82.73, intensity 5

=====

2.
Structure and computed PXRD pattern of SrZrSb2Ru (a cell relaxed with GGA-PBE; Cu Kα).
Intensities are scaled so that the largest is 100.

Structure:
```
data_SrZrSb2Ru
_space_group_name_H-M_alt 'P 4/m m m'
_space_group_IT_number 123
_space_group_name_Hall '-P 4 2'
_cell_length_a 5.693
_cell_length_b 5.693
_cell_length_c 4.680
_cell_angle_alpha 90.00
_cell_angle_beta 90.00
_cell_angle_gamma 90.00
loop_
_atom_site_label
_atom_site_type_symbol
_atom_site_fract_x
_atom_site_fract_y
_atom_site_fract_z
_atom_site_occupancy
Sr1 Sr 0.000 0.000 0.000 1
Zr1 Zr 0.500 0.500 0.500 1
Sb1 Sb 0.000 0.500 0.000 1
Ru1 Ru 0.000 0.000 0.500 1
```

The 12 most intense peaks (10° ≤ 2θ ≤ 90°), sorted by position:
2θ 15.56, intensity 18
2θ 29.26, intensity 100
2θ 31.43, intensity 94
2θ 38.47, intensity 27
2θ 45.04, intensity 34
2θ 50.49, intensity 48
2θ 54.62, intensity 34
2θ 60.69, intensity 28
2θ 65.59, intensity 11
2θ 74.54, intensity 15
2θ 78.69, intensity 13
2θ 87.16, intensity 20

=====

3.
Structure and computed PXRD pattern of Ta5SbRu6 (a cell relaxed with GGA-PBE; Cu Kα).
Intensities are scaled so that the largest is 100.

Structure:
```
data_Ta5SbRu6
_space_group_name_H-M_alt 'I m m m'
_space_group_IT_number 71
_space_group_name_Hall '-I 2 2'
_cell_length_a 4.336
_cell_length_b 6.931
_cell_length_c 12.862
_cell_angle_alpha 90.00
_cell_angle_beta 90.00
_cell_angle_gamma 90.00
loop_
_atom_site_label
_atom_site_type_symbol
_atom_site_fract_x
_atom_site_fract_y
_atom_site_fract_z
_atom_site_occupancy
Ta1 Ta 0.000 0.000 0.000 1
Ta2 Ta 0.000 0.000 0.320 1
Ta3 Ta 0.000 0.500 0.351 1
Sb1 Sb 0.000 0.500 0.000 1
Ru1 Ru 0.000 0.227 0.500 1
Ru2 Ru 0.000 0.264 0.169 1
```

The 12 most intense peaks (10° ≤ 2θ ≤ 90°), sorted by position:
2θ 29.29, intensity 6
2θ 37.15, intensity 5
2θ 39.36, intensity 100
2θ 41.66, intensity 23
2θ 42.15, intensity 19
2θ 52.84, intensity 10
2θ 60.76, intensity 13
2θ 69.44, intensity 9
2θ 69.79, intensity 8
2θ 74.49, intensity 15
2θ 75.19, intensity 13
2θ 84.69, intensity 9